Structure and calculated powder X-ray diffraction pattern of Na4MgBi2O6 (the PBE geometry in the Materials Project; Cu Kα, 1.54184 Å).
Peak positions follow from Bragg's law for the DFT cell and can differ from measured ones.

Structural model:
Lattice parameters (Å, degrees): 6.078 6.323 6.614 109.52 101.45 114.37
Element x y z (fractional)
Na1 0.000 0.000 0.000
Na2 0.035 0.743 0.546
Na3 0.173 0.624 0.057
Na4 0.440 0.482 0.440
Mg1 0.538 0.552 0.893
Bi1 0.594 0.186 0.028
Bi2 0.796 0.136 0.519
O1 0.175 0.231 0.777
O2 0.389 0.070 0.227
O3 0.505 0.806 0.795
O4 0.668 0.699 0.243
O5 0.802 0.521 0.757
O6 0.967 0.316 0.305

Main lines, low angle first (2θ = 5–70°):
| 2theta | I/Imax |
| --- | --- |
| 17.08 | 27 |
| 17.41 | 100 |
| 18.21 | 26 |
| 23.97 | 20 |
| 27.66 | 27 |
| 29.12 | 26 |
| 31.15 | 41 |
| 34.54 | 28 |
| 36.49 | 22 |
| 36.92 | 18 |

Structure and calculated powder X-ray diffraction pattern of NaMgTi2BiO6 (the PBE geometry in the Materials Project; Cu Kα, 1.54184 Å).
Peak positions follow from Bragg's law for the DFT cell and can differ from measured ones.

Structural model:
Lattice parameters (Å, degrees): 6.733 6.733 6.733 48.07 48.07 48.07
Element x y z (fractional)
Na1 0.000 0.000 0.000
Mg1 0.163 0.163 0.163
Ti1 0.425 0.425 0.425
Ti2 0.832 0.832 0.832
Bi1 0.581 0.581 0.581
O1 0.090 0.762 0.432
O2 0.130 0.577 0.967
O3 0.432 0.090 0.762
O4 0.577 0.967 0.130
O5 0.762 0.432 0.090
O6 0.967 0.130 0.577

Main lines, low angle first (2θ = 5–70°):
| 2theta | I/Imax |
| --- | --- |
| 14.91 | 65 |
| 19.34 | 100 |
| 21.20 | 64 |
| 27.44 | 53 |
| 31.37 | 71 |
| 32.66 | 86 |
| 36.07 | 48 |
| 40.18 | 46 |
| 44.96 | 32 |
| 57.45 | 41 |